Computed powder XRD pattern of LiLaInTe3 for CuKα, from a crystal structure in Alexandria, relaxed with GGA-PBE.
Neutral-atom scattering factors, no anomalous dispersion.

Structural model:
a = 9.201 Å, b = 4.393 Å, c = 9.653 Å
α = 90.00°, β = 105.58°, γ = 90.00°
Space group P2_1/m (No. 11)
Asymmetric unit:
Li (0.093, 0.250, 0.096) x2
La (0.183, 0.250, 0.738) x2
In (0.338, 0.750, 0.352) x2
Te (0.094, 0.250, 0.382) x2
Te (0.224, 0.750, 0.002) x2
Te (0.425, 0.750, 0.682) x2

Principal peaks in the range 2θ from 5° to 70°, sorted by position:
9.5 deg, intensity 25; 28.4 deg, intensity 100; 28.6 deg, intensity 68; 28.8 deg, intensity 47; 31.5 deg, intensity 20; 34.6 deg, intensity 42; 36.8 deg, intensity 20; 37.6 deg, intensity 32; 39.2 deg, intensity 35; 41.1 deg, intensity 34; 51.0 deg, intensity 19; 58.1 deg, intensity 22